Starting from a DFT-relaxed cell (PBE, the Materials Project), the X-ray powder pattern of Na3Ti8O16 was calculated for Cu Kα (weighted mean of Kα1 and Kα2).
Peak positions follow from Bragg's law for the DFT cell and can differ from measured ones.

Top 12 peaks for 2θ from 10° to 90°, most intense first:
2θ (°)  d [Å]  I/Imax
35.78  2.510  1000
33.35  2.687  695
19.10  4.646  680
19.00  4.670  487
33.17  2.701  438
49.62  1.837  401
49.78  1.832  334
61.13  1.516  309
42.96  2.105  231
62.37  1.489  230
40.49  2.228  212
16.41  5.401  179

```
Na3Ti8O16
1.0
9.292 0.000 0.000
0.000 2.978 0.000
-0.020 0.000 10.803
Na Ti O
3 8 16
Direct
0.000 0.000 0.000
0.015 0.500 0.501
0.500 0.000 0.194
0.177 0.500 0.245
0.200 0.500 0.735
0.322 0.000 0.955
0.342 0.000 0.454
0.674 0.500 0.945
0.691 0.500 0.463
0.820 0.000 0.237
0.839 0.000 0.743
0.051 0.000 0.700
0.144 0.000 0.367
0.178 0.500 0.919
0.235 0.000 0.130
0.274 0.500 0.563
0.332 0.000 0.777
0.370 0.500 0.327
0.465 0.500 0.997
0.551 0.000 0.487
0.646 0.000 0.833
0.679 0.500 0.277
0.735 0.000 0.065
0.784 0.500 0.628
0.835 0.000 0.418
0.871 0.500 0.866
0.965 0.500 0.199
```

---

Starting from a DFT-relaxed cell (PBE, the Materials Project), the X-ray powder pattern of Na6Ti2O7 was calculated for Cu Kα (weighted mean of Kα1 and Kα2).
Peak positions follow from Bragg's law for the DFT cell and can differ from measured ones.

Top 12 peaks for 2θ from 10° to 90°, most intense first:
2θ (°)  d [Å]  I/Imax
33.14  2.703  1000
39.10  2.304  643
17.27  5.136  631
32.09  2.789  621
40.46  2.230  616
32.87  2.724  451
53.25  1.720  355
24.29  3.665  329
21.87  4.064  312
52.17  1.753  301
22.43  3.964  250
19.72  4.501  212

```
Na6Ti2O7
1.0
8.922 0.000 0.000
0.000 5.406 0.000
-4.754 0.000 9.215
Na Ti O
12 4 14
Direct
0.067 0.197 0.154
0.067 0.803 0.654
0.334 0.225 0.620
0.334 0.775 0.120
0.428 0.221 0.365
0.428 0.779 0.865
0.572 0.221 0.135
0.572 0.779 0.635
0.666 0.225 0.880
0.666 0.775 0.380
0.933 0.197 0.346
0.933 0.803 0.846
0.212 0.306 0.896
0.212 0.694 0.396
0.788 0.306 0.604
0.788 0.694 0.104
0.000 0.171 0.750
0.000 0.829 0.250
0.192 0.362 0.388
0.192 0.638 0.888
0.273 0.210 0.083
0.273 0.790 0.583
0.387 0.226 0.860
0.387 0.774 0.360
0.613 0.226 0.640
0.613 0.774 0.140
0.727 0.210 0.417
0.727 0.790 0.917
0.808 0.362 0.112
0.808 0.638 0.612
```

---

Starting from a DFT-relaxed cell (PBE, the Materials Project), the X-ray powder pattern of Na6Ti2O7 was calculated for Cu Kα (weighted mean of Kα1 and Kα2).
Peak positions follow from Bragg's law for the DFT cell and can differ from measured ones.

Top 12 peaks for 2θ from 10° to 90°, most intense first:
2θ (°)  d [Å]  I/Imax
35.08  2.558  1000
40.04  2.252  930
18.02  4.922  850
37.74  2.384  812
22.19  4.006  796
32.97  2.717  614
32.81  2.730  596
20.67  4.296  573
20.41  4.351  480
55.01  1.669  382
17.86  4.967  371
22.92  3.880  368

```
Na6Ti2O7
1.0
6.008 0.000 0.000
0.000 8.588 0.000
-5.853 0.000 9.059
Na Ti O
12 4 14
Direct
0.000 0.053 0.000
0.000 0.947 0.500
0.206 0.275 0.308
0.206 0.725 0.808
0.328 0.073 0.813
0.328 0.927 0.313
0.494 0.425 0.721
0.494 0.575 0.221
0.635 0.217 0.240
0.635 0.783 0.740
0.821 0.440 0.542
0.821 0.560 0.042
0.124 0.407 0.910
0.124 0.593 0.410
0.697 0.102 0.627
0.697 0.898 0.127
0.207 0.340 0.091
0.207 0.660 0.591
0.400 0.069 0.627
0.400 0.931 0.127
0.418 0.438 0.906
0.418 0.562 0.406
0.621 0.130 0.441
0.621 0.870 0.941
0.879 0.278 0.747
0.879 0.722 0.247
0.924 0.061 0.207
0.924 0.939 0.707
0.937 0.416 0.369
0.937 0.584 0.869
```

---

Starting from a DFT-relaxed cell (PBE, the Materials Project), the X-ray powder pattern of Na5Ti3O8 was calculated for Cu Kα (weighted mean of Kα1 and Kα2).
Peak positions follow from Bragg's law for the DFT cell and can differ from measured ones.

Top 12 peaks for 2θ from 10° to 90°, most intense first:
2θ (°)  d [Å]  I/Imax
40.43  2.231  1000
16.38  5.410  329
57.00  1.616  269
59.99  1.542  262
35.38  2.537  196
74.85  1.269  113
33.12  2.705  98
17.48  5.074  90
70.26  1.340  76
52.24  1.751  62
87.43  1.116  61
67.53  1.387  56

```
Na5Ti3O8
1.0
3.084 1.781 5.410
-3.084 1.781 5.410
0.000 -3.561 5.410
Na Ti O
5 3 8
Direct
0.000 0.000 0.000
0.000 0.500 0.500
0.500 0.000 0.500
0.500 0.500 0.000
0.500 0.500 0.500
0.000 0.000 0.500
0.000 0.500 0.000
0.500 0.000 0.000
0.202 0.749 0.749
0.236 0.236 0.236
0.251 0.251 0.798
0.251 0.798 0.251
0.749 0.202 0.749
0.749 0.749 0.202
0.764 0.764 0.764
0.798 0.251 0.251
```

---

Starting from a DFT-relaxed cell (PBE, the Materials Project), the X-ray powder pattern of Na7Ti13O26 was calculated for Cu Kα (weighted mean of Kα1 and Kα2).
Peak positions follow from Bragg's law for the DFT cell and can differ from measured ones.

Top 12 peaks for 2θ from 10° to 90°, most intense first:
2θ (°)  d [Å]  I/Imax
15.78  5.616  1000
40.83  2.210  547
41.12  2.195  268
56.30  1.634  140
62.26  1.491  137
51.78  1.766  105
35.00  2.564  98
31.87  2.808  92
36.27  2.477  80
61.85  1.500  71
56.37  1.632  70
71.55  1.319  58

```
Na7Ti13O26
1.0
5.156 0.000 0.000
1.699 10.616 0.000
0.819 4.684 10.316
Na Ti O
7 13 26
Direct
0.000 0.000 0.000
0.080 0.692 0.154
0.160 0.385 0.308
0.234 0.079 0.461
0.766 0.921 0.539
0.840 0.615 0.692
0.920 0.308 0.846
0.000 0.500 0.000
0.072 0.192 0.157
0.163 0.883 0.313
0.229 0.577 0.472
0.313 0.268 0.624
0.379 0.960 0.773
0.470 0.654 0.924
0.530 0.346 0.076
0.621 0.040 0.227
0.687 0.732 0.376
0.771 0.423 0.528
0.837 0.117 0.687
0.928 0.808 0.843
0.001 0.254 0.526
0.071 0.949 0.677
0.073 0.438 0.629
0.141 0.640 0.839
0.153 0.130 0.782
0.220 0.331 0.991
0.232 0.821 0.937
0.291 0.024 0.148
0.310 0.515 0.089
0.367 0.715 0.301
0.390 0.207 0.243
0.443 0.410 0.456
0.474 0.901 0.396
0.526 0.099 0.604
0.557 0.590 0.544
0.610 0.793 0.757
0.633 0.285 0.699
0.690 0.485 0.911
0.709 0.976 0.852
0.768 0.179 0.063
0.780 0.669 0.009
0.847 0.870 0.218
0.859 0.360 0.161
0.927 0.562 0.371
0.929 0.051 0.323
0.999 0.746 0.474
```